# Sm3Co11B4
Simulated X-ray powder pattern, a wavelength of 1.5418 Å. Input: the GGA-PBE geometry in the Materials Project.
No peak broadening, texture or thermal motion is included.

Largest 10 diffraction maxima, by intensity, 2θ = 15–90°:
h k l  2θ (°)  d (Å)  I (rel.)
1 0 3  34.49  2.600  100.0
2 0 0  41.21  2.191  94.5
1 1 3  45.55  1.992  93.3
2 1 3  63.08  1.474  34.5
1 1 0  35.49  2.530  29.1
3 0 3  70.80  1.331  23.9
2 2 0  75.11  1.265  22.8
1 0 0  20.27  4.381  20.8
2 0 6  72.74  1.300  15.6
3 1 3  85.34  1.137  14.9

```
data_Sm3Co11B4
_chemical_formula_sum 'Sm3 Co11 B4'
_symmetry_space_group_name_H-M 'P 6/m m m'
_symmetry_Int_Tables_number 191
_symmetry_space_group_name_Hall '-P 6 2'
_cell_length_a 5.0592
_cell_length_b 5.0592
_cell_length_c 9.6915
_cell_angle_alpha 90.00
_cell_angle_beta 90.00
_cell_angle_gamma 120.00
loop_
_atom_site_label
_atom_site_type_symbol
_atom_site_fract_x
_atom_site_fract_y
_atom_site_fract_z
Sm1 Sm 0.0000 0.0000 0.0000
Sm2 Sm 0.0000 0.0000 0.3405
Co1 Co 0.0000 0.5000 0.2026
Co2 Co 0.0000 0.5000 0.5000
Co3 Co 0.3333 0.6667 0.0000
B1 B 0.3333 0.6667 0.3498
```